(1)
The following is a calculated PXRD pattern of NdFeSb3. It was derived from a cell relaxed with PBE, using a wavelength of 1.5418 Å.
Lines closer than 0.1° are merged.

a = 12.709 Å, b = 6.237 Å, c = 18.492 Å
α = 90.00°, β = 90.00°, γ = 90.00°
Space group Pbcm (No. 57)
Unique sites:
Nd 0.193 0.048 0.250 (multiplicity 4)
Nd 0.201 0.519 0.083 (multiplicity 8)
Fe 0.395 0.250 0.000 (multiplicity 4)
Fe 0.399 0.683 0.679 (multiplicity 8)
Sb 0.003 0.250 0.000 (multiplicity 4)
Sb 0.003 0.717 0.666 (multiplicity 8)
Sb 0.279 0.016 0.085 (multiplicity 8)
Sb 0.282 0.542 0.250 (multiplicity 4)
Sb 0.441 0.167 0.250 (multiplicity 4)
Sb 0.471 0.533 0.088 (multiplicity 8)

Largest 8 diffraction maxima, most intense first, 2θ = 10–80°:
two_theta, d (Å), intensity, h k l
34.87, 2.573, 100.0, 4 1 3
41.18, 2.192, 76.5, 0 2 6
31.98, 2.799, 66.8, 2 2 0
32.29, 2.773, 51.8, 2 0 6
36.05, 2.492, 49.6, 3 0 6
28.08, 3.177, 34.7, 4 0 0
35.75, 2.511, 29.6, 3 2 0
29.83, 2.996, 26.5, 1 0 6



(2)
The following is a calculated PXRD pattern of Nd2Fe15Si2. It was derived from a cell relaxed with PBE, using a wavelength of 1.5418 Å.
Lines closer than 0.1° are merged.

a = 8.4253 Å, b = 8.4253 Å, c = 12.6279 Å
α = 90.00°, β = 90.00°, γ = 120.00°
Space group R-3m (No. 166, hexagonal axes)
Unique sites:
Nd 0.0000 0.0000 0.1542 (multiplicity 6)
Fe 0.0000 0.2864 0.5000 (multiplicity 18)
Fe 0.0000 0.5000 0.0000 (multiplicity 9)
Fe 0.0045 0.5023 0.3403 (multiplicity 18)
Si 0.0000 0.0000 0.3982 (multiplicity 6)

Largest 8 diffraction maxima, most intense first, 2θ = 10–80°:
two_theta, d (Å), intensity, h k l
42.95, 2.106, 100.0, 0 0 6
30.01, 2.978, 21.6, 1 1 3
62.36, 1.489, 20.7, 2 2 6
36.96, 2.432, 15.2, 3 0 0
78.71, 1.216, 14.9, 6 0 0
37.68, 2.387, 12.5, 0 2 4
48.32, 1.884, 12.1, 2 2 3
43.58, 2.077, 11.9, 2 1 4



(3)
The following is a calculated PXRD pattern of Nd2FeSi3. It was derived from a cell relaxed with PBE, using a wavelength of 1.5418 Å.
Lines closer than 0.1° are merged.

a = 4.0299 Å, b = 4.0299 Å, c = 8.5533 Å
α = 90.00°, β = 90.00°, γ = 120.00°
Space group P-6m2 (No. 187)
Unique sites:
Nd 0.0000 0.0000 0.2440 (multiplicity 2)
Fe 0.3333 0.6667 0.0000 (multiplicity 1)
Si 0.3333 0.6667 0.5000 (multiplicity 1)
Si 0.6667 0.3333 0.0000 (multiplicity 1)
Si 0.6667 0.3333 0.5000 (multiplicity 1)

Largest 8 diffraction maxima, most intense first, 2θ = 10–80°:
two_theta, d (Å), intensity, h k l
33.13, 2.704, 100.0, 1 0 2
25.52, 3.490, 34.8, 1 0 0
44.99, 2.015, 30.3, 1 1 0
63.43, 1.466, 21.0, 1 1 4
57.00, 1.616, 20.8, 2 0 2
75.41, 1.260, 18.1, 2 1 2
50.03, 1.823, 16.4, 1 0 4
71.50, 1.320, 14.1, 1 0 6



(4)
The following is a calculated PXRD pattern of NdFe10Si2. It was derived from a cell relaxed with PBE, using a wavelength of 1.5418 Å.
Lines closer than 0.1° are merged.

a = 4.728 Å, b = 8.386 Å, c = 8.451 Å
α = 90.00°, β = 90.00°, γ = 90.00°
Space group Immm (No. 71)
Unique sites:
Nd 0.000 0.000 0.000 (multiplicity 2)
Fe 0.000 0.000 0.362 (multiplicity 4)
Fe 0.000 0.284 0.500 (multiplicity 4)
Fe 0.000 0.356 0.000 (multiplicity 4)
Fe 0.250 0.250 0.250 (multiplicity 8)
Si 0.000 0.500 0.258 (multiplicity 4)

Largest 8 diffraction maxima, most intense first, 2θ = 10–80°:
two_theta, d (Å), intensity, h k l
43.92, 2.062, 100.0, 2 0 2
43.16, 2.096, 81.1, 0 4 0
43.27, 2.091, 58.2, 1 3 2
37.37, 2.406, 50.5, 1 3 0
42.80, 2.113, 36.0, 0 0 4
30.37, 2.943, 33.3, 1 2 1
49.22, 1.851, 26.1, 2 2 2
37.15, 2.420, 22.4, 1 0 3



(5)
The following is a calculated PXRD pattern of NdFeSi. It was derived from a cell relaxed with PBE, using a wavelength of 1.5418 Å.
Lines closer than 0.1° are merged.

a = 4.062 Å, b = 4.062 Å, c = 6.990 Å
α = 90.00°, β = 90.00°, γ = 90.00°
Space group P4/nmm (No. 129, origin choice 2)
Unique sites:
Nd 0.250 0.250 0.186 (multiplicity 2)
Fe 0.250 0.750 0.500 (multiplicity 2)
Si 0.250 0.250 0.661 (multiplicity 2)

Largest 8 diffraction maxima, most intense first, 2θ = 10–80°:
two_theta, d (Å), intensity, h k l
33.80, 2.652, 100.0, 1 0 2
25.36, 3.512, 90.8, 1 0 1
40.66, 2.219, 66.1, 1 1 2
44.62, 2.031, 45.7, 2 0 0
31.14, 2.872, 30.0, 1 1 0
52.02, 1.758, 29.7, 2 1 1
57.15, 1.612, 27.3, 2 1 2
57.40, 1.605, 22.6, 1 0 4



(6)
The following is a calculated PXRD pattern of NdFeSi. It was derived from a cell relaxed with PBE, using a wavelength of 1.5418 Å.
Lines closer than 0.1° are merged.

a = 5.278 Å, b = 3.858 Å, c = 10.406 Å
α = 90.00°, β = 90.00°, γ = 90.00°
Space group Pnma (No. 62)
Unique sites:
Nd 0.249 0.250 0.029 (multiplicity 4)
Fe 0.246 0.250 0.304 (multiplicity 4)
Si 0.003 0.250 0.750 (multiplicity 4)

Largest 8 diffraction maxima, most intense first, 2θ = 10–80°:
two_theta, d (Å), intensity, h k l
29.95, 2.984, 100.0, 1 1 1
38.86, 2.317, 99.8, 1 1 3
38.58, 2.333, 39.7, 1 0 4
33.97, 2.639, 36.7, 2 0 0
42.40, 2.132, 30.9, 2 1 1
34.48, 2.602, 25.9, 0 0 4
47.11, 1.929, 25.3, 0 2 0
38.24, 2.354, 23.9, 2 0 2



(7)
The following is a calculated PXRD pattern of NdFeSi2. It was derived from a cell relaxed with PBE, using a wavelength of 1.5418 Å.
Lines closer than 0.1° are merged.

a = 4.104 Å, b = 16.961 Å, c = 4.029 Å
α = 90.00°, β = 90.00°, γ = 90.00°
Space group Cmcm (No. 63)
Unique sites:
Nd 0.000 0.108 0.250 (multiplicity 4)
Fe 0.000 0.250 0.750 (multiplicity 4)
Si 0.000 0.311 0.250 (multiplicity 4)
Si 0.000 0.462 0.250 (multiplicity 4)

Largest 8 diffraction maxima, most intense first, 2θ = 10–80°:
two_theta, d (Å), intensity, h k l
35.02, 2.563, 100.0, 1 3 1
34.30, 2.615, 44.0, 1 5 0
24.46, 3.639, 37.6, 0 2 1
31.61, 2.831, 27.5, 0 6 0
38.92, 2.314, 26.0, 0 6 1
44.14, 2.052, 22.9, 2 0 0
45.00, 2.014, 21.6, 0 0 2
22.29, 3.989, 21.3, 1 1 0



(8)
The following is a calculated PXRD pattern of NdSmFe17. It was derived from a cell relaxed with PBE, using a wavelength of 1.5418 Å.
Lines closer than 0.1° are merged.

a = 8.5576 Å, b = 8.5576 Å, c = 12.4645 Å
α = 90.00°, β = 90.00°, γ = 120.00°
Space group R3m (No. 160, hexagonal axes)
Unique sites:
Nd 0.0000 0.0000 0.0000 (multiplicity 3)
Sm 0.0000 0.0000 0.3170 (multiplicity 3)
Fe 0.0000 0.0000 0.5612 (multiplicity 3)
Fe 0.0000 0.0000 0.7550 (multiplicity 3)
Fe 0.9996 0.2901 0.6583 (multiplicity 18)
Fe 0.0003 0.5001 0.1582 (multiplicity 9)
Fe 0.0016 0.5008 0.5019 (multiplicity 9)
Fe 0.1677 0.3354 0.1482 (multiplicity 9)

Largest 8 diffraction maxima, most intense first, 2θ = 10–80°:
two_theta, d (Å), intensity, h k l
42.58, 2.123, 100.0, 3 0 3
42.24, 2.139, 63.6, 2 2 0
36.37, 2.470, 40.9, 3 0 0
29.98, 2.981, 38.2, 1 1 3
43.57, 2.077, 32.5, 0 0 6
37.72, 2.385, 27.6, 0 2 4
62.26, 1.491, 27.3, 2 2 6
47.82, 1.902, 21.5, 2 2 3



(9)
The following is a calculated PXRD pattern of Nd6Fe13Sn. It was derived from a cell relaxed with PBE, using a wavelength of 1.5418 Å.
Lines closer than 0.1° are merged.

a = 8.068 Å, b = 8.068 Å, c = 23.503 Å
α = 90.00°, β = 90.00°, γ = 90.00°
Space group I4/mcm (No. 140)
Unique sites:
Nd 0.000 0.000 0.104 (multiplicity 8)
Nd 0.164 0.336 0.185 (multiplicity 16)
Fe 0.000 0.500 0.000 (multiplicity 4)
Fe 0.066 0.210 0.500 (multiplicity 16)
Fe 0.113 0.387 0.407 (multiplicity 16)
Fe 0.179 0.321 0.058 (multiplicity 16)
Sn 0.000 0.000 0.250 (multiplicity 4)

Largest 8 diffraction maxima, most intense first, 2θ = 10–80°:
two_theta, d (Å), intensity, h k l
35.18, 2.551, 100.0, 3 1 0
27.21, 3.277, 88.5, 2 1 3
31.25, 2.862, 84.4, 2 1 5
37.89, 2.375, 69.4, 2 0 8
42.74, 2.115, 54.6, 2 1 9
46.57, 1.950, 44.1, 4 1 1
31.84, 2.810, 42.9, 2 0 6
34.33, 2.612, 37.6, 1 1 8



(10)
The following is a calculated PXRD pattern of TbNdFe17. It was derived from a cell relaxed with PBE, using a wavelength of 1.5418 Å.
Lines closer than 0.1° are merged.

a = 8.4134 Å, b = 8.4134 Å, c = 12.3932 Å
α = 90.00°, β = 90.00°, γ = 120.00°
Space group R3m (No. 160, hexagonal axes)
Unique sites:
Tb 0.0000 0.0000 0.0000 (multiplicity 3)
Nd 0.0000 0.0000 0.3125 (multiplicity 3)
Fe 0.0000 0.0000 0.5674 (multiplicity 3)
Fe 0.0000 0.0000 0.7465 (multiplicity 3)
Fe 0.0011 0.2904 0.6568 (multiplicity 18)
Fe 0.0054 0.5027 0.4987 (multiplicity 9)
Fe 0.1672 0.3345 0.4904 (multiplicity 9)
Fe 0.1690 0.3379 0.1474 (multiplicity 9)

Largest 8 diffraction maxima, most intense first, 2θ = 10–80°:
two_theta, d (Å), intensity, h k l
43.21, 2.094, 100.0, 3 0 3
43.00, 2.103, 60.7, 2 2 0
30.32, 2.947, 42.9, 1 1 3
37.01, 2.429, 39.3, 3 0 0
43.83, 2.066, 31.0, 0 0 6
38.13, 2.360, 25.8, 0 2 4
78.79, 1.215, 22.4, 6 0 0
48.57, 1.874, 18.0, 2 2 3



(11)
The following is a calculated PXRD pattern of Nd2TiFe16. It was derived from a cell relaxed with PBE, using a wavelength of 1.5418 Å.
Lines closer than 0.1° are merged.

a = 8.5755 Å, b = 8.5755 Å, c = 12.5242 Å
α = 90.00°, β = 90.00°, γ = 120.00°
Space group R3m (No. 160, hexagonal axes)
Unique sites:
Nd 0.0000 0.0000 0.0000 (multiplicity 3)
Nd 0.0000 0.0000 0.3113 (multiplicity 3)
Ti 0.0000 0.0000 0.5648 (multiplicity 3)
Fe 0.0000 0.0000 0.7560 (multiplicity 3)
Fe 0.0001 0.2932 0.6585 (multiplicity 18)
Fe 0.0034 0.5017 0.4996 (multiplicity 9)
Fe 0.1670 0.3339 0.1497 (multiplicity 9)
Fe 0.1678 0.3355 0.4909 (multiplicity 9)

Largest 8 diffraction maxima, most intense first, 2θ = 10–80°:
two_theta, d (Å), intensity, h k l
42.45, 2.129, 100.0, 3 0 3
42.15, 2.144, 59.2, 2 2 0
43.33, 2.088, 49.6, 0 0 6
36.29, 2.476, 38.8, 3 0 0
29.87, 2.991, 36.4, 1 1 3
62.04, 1.496, 26.9, 2 2 6
37.58, 2.394, 25.2, 0 2 4
61.40, 1.510, 23.7, 2 1 7